Starting from the GGA+U geometry in Alexandria, the powder X-ray diffraction pattern of V4O9 was simulated for Cu Kα.
No peak broadening, texture or thermal motion is included.

Atomic structure:
a b c (Å): 18.1301 3.6980 9.6172
angles (deg): 90.00 90.00 90.00
Element x y z (fractional)
V 0.0100 0.2500 0.2327
V 0.0787 0.7500 0.4671
V 0.1666 0.7500 0.8043
V 0.1840 0.2500 0.0529
V 0.3160 0.7500 0.5529
V 0.3334 0.2500 0.3043
V 0.4213 0.2500 0.9671
V 0.4900 0.7500 0.7327
V 0.5100 0.2500 0.2673
V 0.5787 0.7500 0.0329
V 0.6666 0.7500 0.6957
V 0.6840 0.2500 0.4471
V 0.8160 0.7500 0.9471
V 0.8334 0.2500 0.1957
V 0.9213 0.2500 0.5329
V 0.9900 0.7500 0.7673
O 0.0223 0.7500 0.2811
O 0.0441 0.7500 0.9037
O 0.0493 0.2500 0.4484
O 0.0860 0.7500 0.6567
O 0.1039 0.2500 0.1526
O 0.1548 0.2500 0.8591
O 0.1641 0.7500 0.4198
O 0.2021 0.7500 0.9977
O 0.2393 0.7500 0.6916
O 0.2607 0.2500 0.1916
O 0.2979 0.2500 0.4977
O 0.3359 0.2500 0.9198
O 0.3452 0.7500 0.3591
O 0.3961 0.7500 0.6526
O 0.4140 0.2500 0.1567
O 0.4507 0.7500 0.9484
O 0.4559 0.2500 0.4037
O 0.4777 0.2500 0.7811
O 0.5223 0.7500 0.2189
O 0.5441 0.7500 0.5963
O 0.5493 0.2500 0.0516
O 0.5860 0.7500 0.8433
O 0.6039 0.2500 0.3474
O 0.6548 0.2500 0.6409
O 0.6641 0.7500 0.0802
O 0.7021 0.7500 0.5023
O 0.7393 0.7500 0.8084
O 0.7607 0.2500 0.3084
O 0.7979 0.2500 0.0023
O 0.8359 0.2500 0.5802
O 0.8452 0.7500 0.1409
O 0.8961 0.7500 0.8474
O 0.9140 0.2500 0.3433
O 0.9507 0.7500 0.5516
O 0.9559 0.2500 0.0963
O 0.9777 0.2500 0.7189

Peak list (12 most intense, 2θ from 10° to 90°, low angle first)
| 2θ/deg | I/Imax | h k l |
| --- | --- | --- |
| 17.33 | 83.3 | 3 0 1 |
| 21.68 | 24.6 | 4 0 1 |
| 25.81 | 84.1 | 0 1 1 |
| 26.27 | 100.0 | 5 0 1 |
| 28.27 | 19.5 | 1 0 3 |
| 29.56 | 35.5 | 6 0 0 |
| 30.90 | 29.5 | 1 1 2 |
| 36.50 | 31.7 | 4 1 2 |
| 44.18 | 22.2 | 8 0 2 |
| 45.25 | 16.7 | 5 0 4 |
| 49.28 | 46.6 | 0 2 0 |
| 58.50 | 18.1 | 10 0 3 |